(1)
Structure and simulated PXRD pattern of Lu4CuGe8 (a structure optimized by DFT (GGA-PBE); Cu Kα X-rays).

Peak list (10 most intense, 2θ from 10° to 90°, by angle)
hkl 1 0 2, 2θ = 25.15°, intensity 18; hkl 0 0 6, 2θ = 33.09°, intensity 15; hkl 0 1 5, 2θ = 35.53°, intensity 21; hkl 1 1 3, 2θ = 35.99°, intensity 100; hkl 1 0 6, 2θ = 40.44°, intensity 15; hkl 0 2 0, 2θ = 45.11°, intensity 19; hkl 2 0 0, 2θ = 46.13°, intensity 17; hkl 2 2 0, 2θ = 66.50°, intensity 12; hkl 1 3 3, 2θ = 77.25°, intensity 11; hkl 3 1 3, 2θ = 78.74°, intensity 10

Structural model:
```
13
Lattice="3.935 0.000 0.000 0.000 4.020 0.000 0.000 0.000 16.242" Properties=species:S:1:pos:R:3 pbc="T T T"
Lu 0.000 0.000 0.000
Lu 0.000 2.010 7.940
Lu 1.968 0.000 12.814
Lu 1.968 2.010 4.626
Cu 0.000 2.010 11.590
Ge 0.000 0.000 5.458
Ge 0.000 0.000 10.171
Ge 0.000 2.010 2.251
Ge 0.000 2.010 13.911
Ge 1.968 0.000 2.379
Ge 1.968 0.000 7.135
Ge 1.968 2.010 10.162
Ge 1.968 2.010 15.522
```

=====

(2)
Structure and simulated PXRD pattern of LuCuGe (a structure optimized by DFT (GGA-PBE); Cu Kα X-rays).

Peak list (10 most intense, 2θ from 10° to 90°, by angle)
hkl 1 0 0, 2θ = 23.81°, intensity 24; hkl 0 1 2, 2θ = 34.70°, intensity 100; hkl 1 1 0, 2θ = 41.87°, intensity 55; hkl 1 0 3, 2θ = 45.08°, intensity 10; hkl 0 0 4, 2θ = 51.03°, intensity 6; hkl 2 0 2, 2θ = 55.48°, intensity 26; hkl 1 0 4, 2θ = 57.05°, intensity 6; hkl 1 1 4, 2θ = 68.06°, intensity 14; hkl 1 2 2, 2θ = 71.86°, intensity 24; hkl 3 0 0, 2θ = 76.48°, intensity 9

Structural model:
```
6
Lattice="4.315 0.000 0.000 -2.157 3.737 0.000 0.000 0.000 7.160" Properties=species:S:1:pos:R:3 pbc="T T T"
Lu 0.000 0.000 1.638
Lu 0.000 0.000 5.522
Cu 0.000 2.491 0.151
Cu 2.157 1.246 7.008
Ge 0.000 2.491 3.238
Ge 2.157 1.246 3.921
```

=====

What did the second record say?
Structure and simulated PXRD pattern of LuCuGe (a structure optimized by DFT (GGA-PBE); Cu Kα X-rays).

Peak list (10 most intense, 2θ from 10° to 90°, by angle)
hkl 1 0 0, 2θ = 23.81°, intensity 24; hkl 0 1 2, 2θ = 34.70°, intensity 100; hkl 1 1 0, 2θ = 41.87°, intensity 55; hkl 1 0 3, 2θ = 45.08°, intensity 10; hkl 0 0 4, 2θ = 51.03°, intensity 6; hkl 2 0 2, 2θ = 55.48°, intensity 26; hkl 1 0 4, 2θ = 57.05°, intensity 6; hkl 1 1 4, 2θ = 68.06°, intensity 14; hkl 1 2 2, 2θ = 71.86°, intensity 24; hkl 3 0 0, 2θ = 76.48°, intensity 9

Structural model:
```
6
Lattice="4.315 0.000 0.000 -2.157 3.737 0.000 0.000 0.000 7.160" Properties=species:S:1:pos:R:3 pbc="T T T"
Lu 0.000 0.000 1.638
Lu 0.000 0.000 5.522
Cu 0.000 2.491 0.151
Cu 2.157 1.246 7.008
Ge 0.000 2.491 3.238
Ge 2.157 1.246 3.921
```